Theoretical powder diffraction line list
Compound: Be4Rh5W
Radiation: copper Kα
Structure: DFT lattice parameters and positions (GGA-PBE)

Top 12 peaks for 10 to 80 degrees two-theta, sorted by position:
index	2θ/deg	I (rel.)
0 0 2	11.88	23
1 0 0	31.99	31
1 0 1	32.57	25
1 0 2	34.24	23
0 0 6	36.18	19
1 0 3	36.88	23
1 0 4	40.32	26
1 0 5	44.42	100
1 1 0	45.87	58
1 1 6	59.77	18
2 0 0	66.89	18
1 0 11	78.47	24

Atomic structure:
Unit cell a=2.798 b=2.798 c=14.896 alpha=90.00 beta=90.00 gamma=90.00
Element x y z (fractional)
Be 0.000 0.000 0.093
Be 0.000 0.000 0.278
Be 0.000 0.000 0.722
Be 0.000 0.000 0.907
Rh 0.500 0.500 0.000
Rh 0.500 0.500 0.187
Rh 0.500 0.500 0.375
Rh 0.500 0.500 0.625
Rh 0.500 0.500 0.813
W 0.000 0.000 0.500